For Al7FeCu2, a cell relaxed with PBE gives the calculated XRD peak list in this record (Cu Kα (λ = 1.5418 Å)).

Main lines, sorted by position (2θ from 5° to 70°):
hkl 0 0 2, 12.01°, rel. 38; hkl 1 0 3, 22.93°, rel. 64; hkl 1 1 2, 23.29°, rel. 31; hkl 2 0 2, 30.80°, rel. 18; hkl 2 1 4, 40.23°, rel. 100; hkl 2 2 2, 42.28°, rel. 33; hkl 2 1 5, 44.42°, rel. 96; hkl 3 1 0, 45.40°, rel. 65; hkl 3 1 1, 45.84°, rel. 67; hkl 3 1 3, 49.20°, rel. 27

Crystal structure
```
data_Al7FeCu2
_cell_length_a 6.3170
_cell_length_b 6.3170
_cell_length_c 14.7381
_cell_angle_alpha 90.00
_cell_angle_beta 90.00
_cell_angle_gamma 90.00
_space_group_name_H-M_alt 'P 4/m n c'
_space_group_IT_number 128
_space_group_name_Hall '-P 4 2n'
loop_
_atom_site_label
_atom_site_fract_x
_atom_site_fract_y
_atom_site_fract_z
Al1 0.0000 0.0000 0.1333
Al2 0.0840 0.2940 0.4002
Al3 0.1640 0.6640 0.2500
Fe1 0.0000 0.0000 0.2992
Cu1 0.0867 0.7287 0.0000
```

=====

For Gd2YAl3FeCu2, a cell relaxed with PBE gives the calculated XRD peak list in this record (Cu Kα (λ = 1.5418 Å)).

Main lines, sorted by position (2θ from 5° to 70°):
hkl 0 2 0, 14.46°, rel. 34; hkl 1 0 0, 22.29°, rel. 28; hkl 0 3 1, 25.20°, rel. 34; hkl 0 2 2, 29.30°, rel. 30; hkl 1 3 1, 33.89°, rel. 93; hkl 1 0 2, 34.01°, rel. 55; hkl 1 4 0, 36.98°, rel. 42; hkl 1 2 2, 37.12°, rel. 100; hkl 1 5 1, 45.30°, rel. 23; hkl 2 0 0, 45.49°, rel. 40

Crystal structure
```
data_Gd2YAl3FeCu2
_cell_length_a 3.9882
_cell_length_b 12.2640
_cell_length_c 7.0260
_cell_angle_alpha 90.00
_cell_angle_beta 90.00
_cell_angle_gamma 90.00
_space_group_name_H-M_alt 'A m m 2'
_space_group_IT_number 38
_space_group_name_Hall 'A 2 -2'
loop_
_atom_site_label
_atom_site_fract_x
_atom_site_fract_y
_atom_site_fract_z
Gd1 0.0000 0.2074 0.0000
Y1 0.0000 0.0000 0.6222
Al1 0.5000 0.0000 0.9733
Al2 0.5000 0.1163 0.3252
Fe1 0.0000 0.0000 0.2068
Cu1 0.5000 0.1664 0.7071
```